This entry pairs a crystal structure of CoP2O7 with its theoretical X-ray powder pattern. Radiation: Cu Kα X-rays. Structure: a cell relaxed with GGA+U.

Peak list (10 most intense, 5 to 70 degrees two-theta, most intense first)
2theta  I (rel.)
18.8  100
18.6  91
25.3  51
26.2  46
12.6  46
22.7  41
33.6  36
16.7  33
28.0  32
21.9  27

Atomic structure:
Lattice parameters (Å, degrees): 5.037 8.151 14.844 90.00 108.73 90.00
Space group P2_1/c (No. 14)
Asymmetric unit:
Co 0.090 0.150 0.388 x4
P 0.078 0.530 0.326 x4
P 0.284 0.702 0.973 x4
O 0.110 0.579 0.897 x4
O 0.168 0.626 0.252 x4
O 0.189 0.144 0.845 x4
O 0.204 0.618 0.428 x4
O 0.208 0.703 0.064 x4
O 0.242 0.046 0.211 x4
O 0.401 0.179 0.507 x4

This entry pairs a crystal structure of Li3V2F9 with its theoretical X-ray powder pattern. Radiation: Cu Kα X-rays. Structure: a cell relaxed with GGA+U.

Peak list (10 most intense, 5 to 70 degrees two-theta, most intense first)
2theta  I (rel.)
20.0  100
39.9  55
52.5  31
32.2  30
23.6  22
62.7  20
48.3  16
61.0  13
43.5  11
25.0  8

Atomic structure:
Lattice parameters (Å, degrees): 5.1314 5.1314 14.2550 90.00 90.00 120.00
Space group P3c1 (No. 158)
Asymmetric unit:
Li 0.0000 0.0000 0.0000 x2
Li 0.0000 0.0000 0.2023 x2
Li 0.3333 0.6667 0.0176 x2
V 0.6667 0.3333 0.1639 x2
V 0.6667 0.3333 0.3676 x2
F 0.3202 0.0054 0.1006 x6
F 0.3521 0.0098 0.4379 x6
F 0.3743 0.0613 0.7638 x6

This entry pairs a crystal structure of Ba2PuMnO6 with its theoretical X-ray powder pattern. Radiation: Cu Kα X-rays. Structure: a cell relaxed with GGA+U.

Peak list (10 most intense, 5 to 70 degrees two-theta, most intense first)
2theta  I (rel.)
29.7  100
52.8  41
42.6  29
18.1  25
61.8  19
35.0  15
46.6  7
56.3  6
64.9  6
20.9  2

Atomic structure:
Lattice parameters (Å, degrees): 8.495 8.495 8.495 90.00 90.00 90.00
Space group Fm-3m (No. 225)
Asymmetric unit:
Ba 0.250 0.250 0.250 x8
Pu 0.000 0.000 0.000 x4
Mn 0.000 0.000 0.500 x4
O 0.000 0.000 0.246 x24

This entry pairs a crystal structure of Li3Fe2Si2O8 with its theoretical X-ray powder pattern. Radiation: Cu Kα X-rays. Structure: a cell relaxed with GGA+U.

Peak list (10 most intense, 5 to 70 degrees two-theta, most intense first)
2theta  I (rel.)
23.4  100
22.0  80
31.9  75
15.8  74
35.0  64
28.6  59
21.5  56
33.7  56
59.2  39
55.7  33

Atomic structure:
Lattice parameters (Å, degrees): 5.133 10.630 6.599 90.00 90.53 90.00
Space group P2_1 (No. 4)
Asymmetric unit:
Li 0.044 0.000 0.481 x2
Li 0.066 0.770 0.250 x2
Li 0.436 0.086 0.238 x2
Fe 0.082 0.767 0.767 x2
Fe 0.440 0.090 0.751 x2
Si 0.059 0.514 0.996 x2
Si 0.430 0.332 0.490 x2
O 0.007 0.866 0.009 x2
O 0.050 0.083 0.210 x2
O 0.068 0.084 0.795 x2
O 0.111 0.335 0.499 x2
O 0.378 0.540 0.017 x2
O 0.452 0.756 0.309 x2
O 0.456 0.982 0.511 x2
O 0.461 0.758 0.706 x2

This entry pairs a crystal structure of MgTi3Fe2CoP6O24 with its theoretical X-ray powder pattern. Radiation: Cu Kα X-rays. Structure: a cell relaxed with GGA+U.

Peak list (10 most intense, 5 to 70 degrees two-theta, most intense first)
2theta  I (rel.)
20.2  100
24.0  67
32.6  66
35.5  58
32.9  50
20.3  43
23.7  39
23.8  35
24.3  33
24.2  31

Atomic structure:
Lattice parameters (Å, degrees): 8.485 8.628 8.633 61.32 61.94 61.52
Space group P1 (No. 1)
Asymmetric unit:
Mg 0.000 0.000 0.000 x1
Ti 0.110 0.498 0.708 x1
Ti 0.405 0.775 0.011 x1
Ti 0.895 0.285 0.496 x1
Fe 0.261 0.620 0.857 x1
Fe 0.738 0.139 0.369 x1
Co 0.605 0.986 0.209 x1
P 0.004 0.680 0.312 x1
P 0.195 0.182 0.107 x1
P 0.295 0.097 0.605 x1
P 0.504 0.594 0.408 x1
P 0.714 0.396 0.891 x1
P 0.814 0.893 0.811 x1
O 0.000 0.204 0.267 x1
O 0.004 0.731 0.781 x1
O 0.079 0.634 0.464 x1
O 0.142 0.141 0.529 x1
O 0.156 0.704 0.112 x1
O 0.181 0.378 0.949 x1
O 0.206 0.033 0.044 x1
O 0.238 0.253 0.680 x1
O 0.284 0.911 0.779 x1
O 0.346 0.568 0.601 x1
O 0.363 0.126 0.162 x1
O 0.431 0.642 0.250 x1
O 0.493 0.077 0.462 x1
O 0.512 0.541 0.925 x1
O 0.570 0.743 0.376 x1
O 0.639 0.839 0.879 x1
O 0.659 0.398 0.418 x1
O 0.739 0.222 0.071 x1
O 0.755 0.332 0.734 x1
O 0.813 0.052 0.620 x1
O 0.814 0.952 0.954 x1
O 0.858 0.882 0.285 x1
O 0.861 0.483 0.838 x1
O 0.936 0.526 0.351 x1

This entry pairs a crystal structure of La4MgFeO8 with its theoretical X-ray powder pattern. Radiation: Cu Kα X-rays. Structure: a cell relaxed with GGA+U.

Peak list (10 most intense, 5 to 70 degrees two-theta, most intense first)
2theta  I (rel.)
29.7  100
24.4  65
32.0  50
48.4  44
34.0  39
35.3  39
40.3  33
29.6  25
52.4  21
16.9  19

Atomic structure:
Lattice parameters (Å, degrees): 14.960 5.590 5.087 90.00 90.13 90.00
Space group C2/m (No. 12)
Asymmetric unit:
La 0.119 0.000 0.000 x4
La 0.181 0.500 0.500 x4
Mg 0.000 0.500 0.500 x2
Fe 0.000 0.000 0.500 x2
O 0.000 0.247 0.240 x8
O 0.174 0.000 0.500 x4
O 0.201 0.500 0.000 x4

This entry pairs a crystal structure of Mn3TeO6 with its theoretical X-ray powder pattern. Radiation: Cu Kα X-rays. Structure: a cell relaxed with GGA+U.

Peak list (10 most intense, 5 to 70 degrees two-theta, most intense first)
2theta  I (rel.)
31.5  100
33.0  87
22.6  46
46.2  44
51.0  44
58.0  37
58.9  32
19.9  28
38.2  22
18.6  14

Atomic structure:
Lattice parameters (Å, degrees): 5.426 5.428 10.021 74.33 74.33 60.02
Space group P1 (No. 1)
Asymmetric unit:
Mn 0.000 0.000 0.000 x1
Mn 0.109 0.109 0.674 x1
Mn 0.246 0.246 0.262 x1
Mn 0.500 0.500 0.500 x1
Mn 0.608 0.609 0.175 x1
Mn 0.746 0.746 0.762 x1
Te 0.352 0.352 0.943 x1
Te 0.852 0.852 0.443 x1
O 0.018 0.322 0.074 x1
O 0.086 0.519 0.575 x1
O 0.099 0.714 0.837 x1
O 0.213 0.850 0.337 x1
O 0.322 0.585 0.074 x1
O 0.349 0.100 0.836 x1
O 0.518 0.821 0.574 x1
O 0.585 0.018 0.074 x1
O 0.599 0.214 0.337 x1
O 0.714 0.349 0.837 x1
O 0.821 0.086 0.575 x1
O 0.850 0.600 0.337 x1